Starting from a DFT-relaxed cell (GGA-PBE, Alexandria), the powder diffraction line list of CuNi3H6 was simulated for Cu Kα X-rays.

Structure:
Cell: 6.5972 2.5783 8.9352 Å, 90.00 110.40 90.00°
Sites, in units of the cell vectors:
1 Cu 0.2135 0.2500 0.0818
2 Cu 0.7865 0.7500 0.9182
3 Ni 0.0002 0.2500 0.7585
4 Ni 0.9998 0.7500 0.2415
5 Ni 0.3363 0.2500 0.4113
6 Ni 0.3640 0.7500 0.8780
7 Ni 0.6360 0.2500 0.1220
8 Ni 0.6637 0.7500 0.5887
9 H 0.0679 0.2500 0.3755
10 H 0.0955 0.7500 0.8915
11 H 0.2532 0.2500 0.7513
12 H 0.2701 0.7500 0.2738
13 H 0.3938 0.7500 0.5426
14 H 0.4544 0.7500 0.0923
15 H 0.5456 0.2500 0.9077
16 H 0.6062 0.2500 0.4574
17 H 0.7299 0.2500 0.7262
18 H 0.7468 0.7500 0.2487
19 H 0.9045 0.2500 0.1085
20 H 0.9321 0.7500 0.6245

Largest 10 diffraction maxima, in order of rising 2θ, 10 to 80 degrees two-theta:
2theta	I_rel
10.6	83
14.5	26
21.1	84
30.2	26
37.9	30
40.8	34
41.9	59
42.9	33
44.6	100
48.0	80